(1)
The following is a theoretical powder diffraction line list of Li2Ti3V3O12. It was derived from a DFT-relaxed cell (GGA+U, Alexandria), using Cu Kα X-rays.
Peak positions follow from Bragg's law for the DFT cell and can differ from measured ones.

Top 10 peaks for 10° ≤ 2θ ≤ 90°, by intensity:
- 17.57°, rel. 100
- 42.06°, rel. 18
- 42.55°, rel. 18
- 42.40°, rel. 17
- 35.17°, rel. 11
- 62.45°, rel. 10
- 35.05°, rel. 9
- 35.43°, rel. 9
- 55.05°, rel. 5
- 55.34°, rel. 5

Atomic structure:
```
data_Li2Ti3V3O12
_cell_length_a 5.1938
_cell_length_b 6.0759
_cell_length_c 7.9835
_cell_angle_alpha 77.43
_cell_angle_beta 77.56
_cell_angle_gamma 74.62
_space_group_name_H-M_alt 'P 1'
_space_group_IT_number 1
_space_group_name_Hall 'P 1'
loop_
_atom_site_label
_atom_site_fract_x
_atom_site_fract_y
_atom_site_fract_z
_atom_site_occupancy
Li1 0.0000 0.0000 0.0000 1
Li2 0.5000 0.5000 0.5000 1
Ti1 0.0000 0.5000 0.0000 1
Ti2 0.0045 0.8157 0.6605 1
Ti3 0.9955 0.1843 0.3395 1
V1 0.4927 0.3354 0.1654 1
V2 0.5000 0.0000 0.5000 1
V3 0.5073 0.6646 0.8346 1
O1 0.2040 0.1967 0.1011 1
O2 0.2280 0.5312 0.7569 1
O3 0.2346 0.8626 0.4353 1
O4 0.2583 0.6395 0.0624 1
O5 0.2662 0.3009 0.4069 1
O6 0.2743 0.9671 0.7248 1
O7 0.7257 0.0329 0.2752 1
O8 0.7338 0.6991 0.5931 1
O9 0.7417 0.3605 0.9376 1
O10 0.7654 0.1374 0.5647 1
O11 0.7720 0.4688 0.2431 1
O12 0.7960 0.8033 0.8989 1
```

(2)
The following is a theoretical powder diffraction line list of Li2TiV5O12. It was derived from a DFT-relaxed cell (GGA+U, Alexandria), using Cu Kα X-rays.
Peak positions follow from Bragg's law for the DFT cell and can differ from measured ones.

Top 10 peaks for 10° ≤ 2θ ≤ 90°, by intensity:
- 28.83°, rel. 100
- 13.85°, rel. 63
- 19.03°, rel. 47
- 28.61°, rel. 43
- 40.43°, rel. 39
- 53.25°, rel. 27
- 21.52°, rel. 26
- 17.55°, rel. 24
- 34.30°, rel. 24
- 42.45°, rel. 19

Atomic structure:
```
data_Li2TiV5O12
_cell_length_a 6.8847
_cell_length_b 6.8847
_cell_length_c 5.6991
_cell_angle_alpha 108.56
_cell_angle_beta 108.56
_cell_angle_gamma 73.73
_space_group_name_H-M_alt 'P 1'
_space_group_IT_number 1
_space_group_name_Hall 'P 1'
loop_
_atom_site_label
_atom_site_fract_x
_atom_site_fract_y
_atom_site_fract_z
_atom_site_occupancy
Li1 0.0000 0.0000 0.0000 1
Li2 0.6136 0.3864 0.5000 1
Ti1 0.3860 0.6140 0.0000 1
V1 0.1337 0.3239 0.5665 1
V2 0.2327 0.7673 0.5000 1
V3 0.4753 0.0552 0.9280 1
V4 0.6761 0.8663 0.4335 1
V5 0.9448 0.5247 0.0720 1
O1 0.0188 0.2910 0.2160 1
O2 0.1244 0.7246 0.1278 1
O3 0.2731 0.0461 0.5474 1
O4 0.2754 0.8756 0.8722 1
O5 0.3261 0.4980 0.6041 1
O6 0.3448 0.3483 0.9613 1
O7 0.5020 0.6739 0.3959 1
O8 0.6133 0.0845 0.3007 1
O9 0.6517 0.6552 0.0387 1
O10 0.7090 0.9812 0.7840 1
O11 0.9155 0.3867 0.6993 1
O12 0.9539 0.7269 0.4526 1
```